The following is a simulated X-ray powder pattern of SrMg14Zr. It was derived from the GGA-PBE geometry in the Materials Project, using copper Kα.

Peak list (10 most intense, 10 to 80 degrees two-theta, by intensity)
35.83°, I = 100.0, hkl 2 2 2
35.99°, I = 45.1, hkl 2 0 4
34.42°, I = 35.4, hkl 4 0 0
31.29°, I = 25.5, hkl 0 2 2
17.77°, I = 20.8, hkl 1 0 2
62.56°, I = 19.7, hkl 6 2 2
67.35°, I = 17.7, hkl 4 2 6
55.93°, I = 16.2, hkl 0 2 6
47.20°, I = 15.7, hkl 4 2 2
31.48°, I = 15.1, hkl 0 0 4

Structural model:
a = 10.4236 Å, b = 6.6140 Å, c = 11.3682 Å
α = 90.00°, β = 90.00°, γ = 90.00°
Space group Amm2 (No. 38)
Symmetry-distinct sites (fractional):
1 Sr 0.0000 0.0000 0.0000
2 Mg 0.0000 0.2504 0.2491
3 Mg 0.2442 0.0000 0.6623
4 Mg 0.2591 0.2402 0.4143
5 Mg 0.2621 0.0000 0.1719
6 Mg 0.5000 0.0000 0.4993
7 Mg 0.5000 0.0000 0.9978
8 Mg 0.5000 0.2459 0.7475
9 Zr 0.0000 0.0000 0.4851


The following is a simulated X-ray powder pattern of Li4NpO5. It was derived from the GGA-PBE geometry in the Materials Project, using copper Kα.

Peak list (10 most intense, 10 to 80 degrees two-theta, by intensity)
23.98°, I = 100.0, hkl 1 0 1
18.58°, I = 89.0, hkl 1 1 0
35.96°, I = 51.4, hkl 1 2 1
26.39°, I = 39.4, hkl 2 0 0
42.32°, I = 33.3, hkl 1 3 0
60.10°, I = 23.1, hkl 1 3 2
53.06°, I = 22.6, hkl 2 3 1
45.02°, I = 19.1, hkl 1 1 2
45.15°, I = 18.2, hkl 3 0 1
60.22°, I = 17.1, hkl 1 4 1

Structural model:
a = 6.7537 Å, b = 6.7537 Å, c = 4.4419 Å
α = 90.00°, β = 90.00°, γ = 90.00°
Space group I4/m (No. 87)
Symmetry-distinct sites (fractional):
1 Li 0.0869 0.3104 0.0000
2 Np 0.0000 0.0000 0.5000
3 O 0.0000 0.0000 0.0000
4 O 0.0868 0.2849 0.5000